# Ca4CuH
Calculated X-ray powder pattern, Cu Kα X-rays. Input: a crystal structure in Alexandria, relaxed with GGA-PBE.
Lines closer than 0.1° are merged.

Largest 8 diffraction maxima, low angle first, 2θ = 10–90°:
2θ (°)	Rel. int.
14.34	53
19.25	68
28.90	100
31.02	98
33.74	65
36.77	63
37.67	50
39.08	39

```
12
Lattice="-4.610 4.610 4.161 4.610 -4.610 4.161 4.610 4.610 -4.161" Properties=species:S:1:pos:R:3 pbc="T T T"
Ca 2.819 2.305 -0.353
Ca 6.401 2.305 -0.353
Ca 0.000 0.514 1.728
Ca 4.610 0.514 2.433
Ca 0.000 4.096 1.728
Ca 4.610 4.096 2.433
Ca -1.791 2.305 4.514
Ca 1.791 2.305 4.514
Cu 4.610 -2.305 3.121
Cu 0.000 6.915 1.040
H 4.610 2.305 1.040
H 0.000 2.305 3.121
```

---

# Na2CaCu2H6
Calculated X-ray powder pattern, Cu Kα X-rays. Input: a crystal structure in Alexandria, relaxed with GGA-PBE.
Lines closer than 0.1° are merged.

Largest 8 diffraction maxima, low angle first, 2θ = 10–90°:
2θ (°)	Rel. int.
19.77	47
21.43	53
31.40	27
33.21	100
33.55	57
34.11	78
41.00	20
46.58	31

```
11
Lattice="4.545 -2.671 0.000 4.545 2.671 0.000 -2.563 0.000 5.719" Properties=species:S:1:pos:R:3 pbc="T T T"
Na 1.436 0.000 0.919
Na 5.090 0.000 4.800
Ca -1.281 0.000 2.860
Cu 2.216 0.000 4.337
Cu 4.310 0.000 1.383
H 3.539 1.361 1.030
H 0.903 0.000 3.448
H 2.987 1.361 4.690
H 3.539 -1.361 1.030
H 5.623 0.000 2.271
H 2.987 -1.361 4.690
```

---

# CaCuSiH2O5
Calculated X-ray powder pattern, Cu Kα X-rays. Input: a crystal structure in Alexandria, relaxed with GGA-PBE.
Lines closer than 0.1° are merged.

Largest 8 diffraction maxima, low angle first, 2θ = 10–90°:
2θ (°)	Rel. int.
10.91	51
17.70	20
22.41	41
27.34	50
32.02	100
35.31	43
37.96	25
56.35	21

```
40
Lattice="5.082 0.000 0.000 0.000 16.218 0.000 -1.199 0.000 5.268" Properties=species:S:1:pos:R:3 pbc="T T T"
Ca 0.363 2.871 1.818
Ca -0.236 5.238 4.452
Ca 4.119 10.980 0.816
Ca 3.520 13.347 3.450
Cu 0.000 0.000 0.000
Cu -0.599 8.109 2.634
Cu 1.941 0.000 2.634
Cu 2.541 8.109 0.000
Si 1.296 1.814 5.105
Si 1.895 6.296 2.471
Si 1.988 9.923 2.797
Si 2.587 14.405 0.163
H -0.126 10.830 3.865
H 0.474 13.497 1.231
H 0.553 11.986 4.788
H 1.152 12.341 2.154
H 2.731 3.877 3.114
H 3.330 4.232 0.480
H 3.409 2.721 4.037
H 4.009 5.388 1.403
O -0.324 11.497 4.579
O 0.275 12.830 1.944
O 0.374 9.795 2.454
O -0.225 14.532 5.088
O 1.553 0.883 0.878
O 0.954 7.226 3.512
O 0.978 1.417 3.540
O 1.577 6.693 0.906
O 2.020 3.349 0.155
O 1.420 4.761 2.789
O 2.463 11.458 2.479
O 1.863 12.870 5.113
O 2.306 9.526 4.363
O 2.905 14.802 1.729
O 2.929 8.992 1.756
O 2.330 15.335 4.390
O 4.108 1.686 0.180
O 3.509 6.423 2.814
O 3.608 3.388 3.324
O 4.207 4.721 0.690
```